# CaB2Rh6
Theoretical powder XRD pattern, Cu Kα. Input: a crystal structure in Alexandria, relaxed with PBE.

Structural model:
Cell lengths 10.660, 10.660, 10.660 Å; angles 90.00, 90.00, 90.00 degrees
Space group Fd-3m (No. 227, origin choice 2)
Symmetry-distinct sites (fractional):
Ca: 0.125 0.125 0.125 [8 per cell]
B: 0.000 0.000 0.500 [16 per cell]
Rh: 0.073 0.375 0.875 [48 per cell]

Top 8 peaks for 2θ = 10–80°, by angle:
index	two_theta	I/Imax
1 1 1	14.39	63
4 0 0	33.63	100
3 3 1	36.75	60
4 2 2	41.50	49
3 3 3	44.14	71
4 4 0	48.29	40
5 5 1	62.19	27
8 2 2	75.70	44



# Ca2B7Ru12
Theoretical powder XRD pattern, Cu Kα. Input: a crystal structure in Alexandria, relaxed with PBE.

Structural model:
Cell lengths 10.2754, 10.2754, 2.9021 Å; angles 90.00, 90.00, 120.00 degrees
Space group P-6 (No. 174)
Symmetry-distinct sites (fractional):
Ca: 0.0000 0.0000 0.0000 [1 per cell]
Ca: 0.3333 0.6667 0.5000 [1 per cell]
B: 0.0972 0.6652 0.0000 [3 per cell]
B: 0.2758 0.0688 0.5000 [3 per cell]
B: 0.6667 0.3333 0.5000 [1 per cell]
Ru: 0.0076 0.7457 0.5000 [3 per cell]
Ru: 0.0882 0.3477 0.0000 [3 per cell]
Ru: 0.4733 0.2310 0.0000 [3 per cell]
Ru: 0.5109 0.0294 0.5000 [3 per cell]

Top 8 peaks for 2θ = 10–80°, by angle:
index	two_theta	I/Imax
1 1 0	17.26	34
1 1 1	35.53	43
3 1 0	36.40	37
2 0 1	36.98	28
4 0 0	40.55	62
1 2 1	41.08	100
2 3 0	44.37	33
3 1 1	48.41	45



# CaBRu
Theoretical powder XRD pattern, Cu Kα. Input: a crystal structure in Alexandria, relaxed with PBE.

Structural model:
Cell lengths 10.727, 3.886, 5.823 Å; angles 90.00, 106.92, 90.00 degrees
Space group C2/m (No. 12)
Symmetry-distinct sites (fractional):
Ca: 0.106 0.000 0.296 [4 per cell]
B: 0.139 0.500 0.872 [4 per cell]
Ru: 0.187 0.000 0.843 [4 per cell]

Top 8 peaks for 2θ = 10–80°, by angle:
index	two_theta	I/Imax
0 0 1	15.91	66
2 0 0	17.28	84
2 0 -1	19.82	76
1 1 0	24.49	80
4 0 -1	33.95	46
3 1 0	34.95	85
1 1 -2	38.65	100
3 1 1	41.83	54



# CaBS3
Theoretical powder XRD pattern, Cu Kα. Input: a crystal structure in Alexandria, relaxed with PBE.

Structural model:
Cell lengths 4.360, 4.360, 4.360 Å; angles 90.00, 90.00, 90.00 degrees
Space group Pm-3m (No. 221)
Symmetry-distinct sites (fractional):
Ca: 0.000 0.000 0.000 [1 per cell]
B: 0.500 0.500 0.500 [1 per cell]
S: 0.000 0.500 0.500 [3 per cell]

Top 8 peaks for 2θ = 10–80°, by angle:
index	two_theta	I/Imax
1 1 0	28.96	5
1 1 1	35.67	100
2 0 0	41.42	59
2 1 1	51.33	2
2 2 0	60.01	35
3 1 0	67.99	1
3 1 1	71.81	33
2 2 2	75.54	12



# CaSi2BS6
Theoretical powder XRD pattern, Cu Kα. Input: a crystal structure in Alexandria, relaxed with PBE.

Structural model:
Cell lengths 12.854, 10.526, 7.667 Å; angles 90.00, 121.07, 90.00 degrees
Space group C2/c (No. 15)
Symmetry-distinct sites (fractional):
Ca: 0.000 0.172 0.250 [4 per cell]
Si: 0.202 0.435 0.117 [8 per cell]
B: 0.000 0.184 0.750 [4 per cell]
S: 0.097 0.261 0.014 [8 per cell]
S: 0.100 0.079 0.683 [8 per cell]
S: 0.161 0.432 0.386 [8 per cell]

Top 8 peaks for 2θ = 10–80°, by angle:
index	two_theta	I/Imax
0 2 1	21.64	100
2 2 -1	22.44	63
2 2 0	23.38	97
3 1 0	25.71	99
3 1 -2	26.80	52
3 1 -3	36.32	96
0 4 1	36.79	89
3 3 1	42.55	54



# CaTa2B
Theoretical powder XRD pattern, Cu Kα. Input: a crystal structure in Alexandria, relaxed with PBE.

Structural model:
Cell lengths 9.354, 9.354, 9.354 Å; angles 90.00, 90.00, 90.00 degrees
Space group Fd-3m (No. 227, origin choice 2)
Symmetry-distinct sites (fractional):
Ca: 0.125 0.125 0.125 [8 per cell]
Ta: 0.000 0.000 0.500 [16 per cell]
B: 0.125 0.125 0.625 [8 per cell]

Top 8 peaks for 2θ = 10–80°, by angle:
index	two_theta	I/Imax
1 1 1	16.41	94
3 1 1	31.73	100
2 2 2	33.18	92
4 0 0	38.50	34
3 3 1	42.11	27
5 1 1	50.71	36
4 4 0	55.58	41
6 2 2	66.28	38



# CaTcB4
Theoretical powder XRD pattern, Cu Kα. Input: a crystal structure in Alexandria, relaxed with PBE.

Structural model:
Cell lengths 6.016, 11.653, 3.551 Å; angles 90.00, 90.00, 90.00 degrees
Space group Pbam (No. 55)
Symmetry-distinct sites (fractional):
Ca: 0.126 0.151 0.000 [4 per cell]
Tc: 0.128 0.417 0.000 [4 per cell]
B: 0.023 0.693 0.500 [4 per cell]
B: 0.114 0.547 0.500 [4 per cell]
B: 0.135 0.968 0.500 [4 per cell]
B: 0.215 0.815 0.500 [4 per cell]

Top 8 peaks for 2θ = 10–80°, by angle:
index	two_theta	I/Imax
0 2 0	15.21	36
1 1 0	16.58	80
0 0 1	25.08	79
2 1 0	30.69	68
2 3 0	37.83	50
2 1 1	40.04	100
1 4 1	42.87	50
2 3 1	45.93	81



# Ca2TcB10
Theoretical powder XRD pattern, Cu Kα. Input: a crystal structure in Alexandria, relaxed with PBE.

Structural model:
Cell lengths 5.772, 11.612, 4.181 Å; angles 90.00, 90.00, 90.00 degrees
Space group Pbam (No. 55)
Symmetry-distinct sites (fractional):
Ca: 0.195 0.142 0.000 [4 per cell]
Tc: 0.000 0.500 0.500 [2 per cell]
B: 0.058 0.307 0.500 [4 per cell]
B: 0.116 0.955 0.500 [4 per cell]
B: 0.136 0.802 0.500 [4 per cell]
B: 0.221 0.380 0.200 [8 per cell]

Top 8 peaks for 2θ = 10–80°, by angle:
index	two_theta	I/Imax
0 2 0	15.26	45
1 1 0	17.15	78
0 2 1	26.27	54
1 1 1	27.44	100
1 3 0	27.75	50
1 2 1	30.56	49
0 4 1	37.73	74
2 0 1	37.88	63



# CaBTe
Theoretical powder XRD pattern, Cu Kα. Input: a crystal structure in Alexandria, relaxed with PBE.

Structural model:
Cell lengths 11.556, 3.608, 6.385 Å; angles 90.00, 91.87, 90.00 degrees
Space group C2/m (No. 12)
Symmetry-distinct sites (fractional):
Ca: 0.134 0.000 0.205 [4 per cell]
B: 0.044 0.500 0.906 [4 per cell]
Te: 0.132 0.000 0.712 [4 per cell]

Top 8 peaks for 2θ = 10–80°, by angle:
index	two_theta	I/Imax
2 0 -1	20.40	44
2 0 1	21.08	62
1 1 0	25.87	100
0 0 2	27.96	79
4 0 0	30.97	75
3 1 0	34.06	87
1 1 2	38.66	83
3 1 -2	44.11	61